[1]
Mg6CdCoO8: computed powder diffraction line list (a wavelength of 1.5418 Å), based on a PBE+U-relaxed structure.
Intensities are scaled so that the largest is 100.

Atomic structure:
Lattice parameters (Å, degrees): 4.3617 4.3617 8.6806 90.00 90.00 90.00
Space group P4/mmm (No. 123)
One atom of each set of equivalent atoms:
Mg  0.0000  0.0000  0.0000 x1
Mg  0.0000  0.0000  0.5000 x1
Mg  0.0000  0.5000  0.2426 x4
Cd  0.5000  0.5000  0.5000 x1
Co  0.5000  0.5000  0.0000 x1
O  0.0000  0.0000  0.2496 x2
O  0.0000  0.5000  0.0000 x2
O  0.0000  0.5000  0.5000 x2
O  0.5000  0.5000  0.2343 x2

Main lines, most intense first (2θ from 10° to 80°):
hkl 2 0 0, 2θ 41.40, d 2.181, I = 100
hkl 1 0 2, 2θ 29.00, d 3.079, I = 61
hkl 1 1 2, 2θ 35.71, d 2.514, I = 58
hkl 2 0 4, 2θ 60.15, d 1.538, I = 57
hkl 0 0 4, 2θ 41.62, d 2.170, I = 48
hkl 1 0 0, 2θ 20.36, d 4.362, I = 48
hkl 2 2 0, 2θ 59.99, d 1.542, I = 29
hkl 2 2 4, 2θ 75.65, d 1.257, I = 26
hkl 0 0 2, 2θ 20.46, d 4.340, I = 24
hkl 2 0 2, 2θ 46.58, d 1.950, I = 21

---

[2]
LuWO5: computed powder diffraction line list (a wavelength of 1.5418 Å), based on a PBE+U-relaxed structure.
Intensities are scaled so that the largest is 100.

Atomic structure:
Lattice parameters (Å, degrees): 5.2344 12.4659 6.8304 90.00 116.75 90.00
Space group P2_1/c (No. 14)
One atom of each set of equivalent atoms:
Lu  0.1393  0.0545  0.2860 x4
W  0.3975  0.1392  0.8486 x4
O  0.0078  0.0857  0.5560 x4
O  0.2005  0.0624  0.9732 x4
O  0.2586  0.6508  0.4152 x4
O  0.2943  0.2221  0.2919 x4
O  0.4850  0.5714  0.8465 x4

Main lines, most intense first (2θ from 10° to 80°):
hkl 1 2 1, 2θ 32.27, d 2.774, I = 100
hkl 1 1 0, 2θ 20.30, d 4.375, I = 78
hkl 1 3 -1, 2θ 28.07, d 3.178, I = 75
hkl 1 2 -1, 2θ 22.99, d 3.869, I = 62
hkl 0 2 0, 2θ 14.21, d 6.233, I = 53
hkl 1 1 -2, 2θ 27.72, d 3.218, I = 51
hkl 2 1 -1, 2θ 35.13, d 2.555, I = 48
hkl 1 0 -2, 2θ 26.77, d 3.331, I = 45
hkl 1 3 0, 2θ 28.75, d 3.106, I = 42
hkl 2 5 0, 2θ 53.77, d 1.705, I = 38

---

[3]
LiFeF4: computed powder diffraction line list (a wavelength of 1.5418 Å), based on a PBE+U-relaxed structure.
Intensities are scaled so that the largest is 100.

Atomic structure:
Lattice parameters (Å, degrees): 5.7822 5.9515 8.5004 90.00 90.00 90.00
Space group P2_12_12_1 (No. 19)
One atom of each set of equivalent atoms:
Li  0.0264  0.2152  0.2442 x4
Fe  0.0242  0.5931  0.9011 x4
F  0.0475  0.9259  0.4184 x4
F  0.0954  0.8512  0.7421 x4
F  0.1727  0.4952  0.3491 x4
F  0.2101  0.7789  0.0765 x4

Main lines, most intense first (2θ from 10° to 80°):
hkl 1 1 1, 2θ 23.87, d 3.727, I = 100
hkl 0 1 1, 2θ 18.20, d 4.875, I = 52
hkl 0 1 2, 2θ 25.76, d 3.459, I = 51
hkl 0 2 3, 2θ 44.13, d 2.052, I = 33
hkl 1 1 2, 2θ 30.10, d 2.969, I = 28
hkl 1 0 1, 2θ 18.56, d 4.781, I = 26
hkl 1 3 2, 2θ 53.37, d 1.717, I = 21
hkl 3 1 1, 2θ 50.95, d 1.792, I = 19
hkl 1 2 2, 2θ 40.14, d 2.246, I = 19
hkl 2 0 0, 2θ 30.93, d 2.891, I = 17

---

[4]
Li2VC2O6: computed powder diffraction line list (a wavelength of 1.5418 Å), based on a PBE+U-relaxed structure.
Intensities are scaled so that the largest is 100.

Atomic structure:
Lattice parameters (Å, degrees): 4.8384 4.8384 16.6037 90.00 90.00 120.00
Space group R-3 (No. 148, hexagonal axes)
One atom of each set of equivalent atoms:
Li  0.0000  0.0000  0.2147 x6
V  0.0000  0.0000  0.0000 x3
C  0.0000  0.0000  0.4122 x6
O  0.0162  0.7393  0.5873 x18

Main lines, most intense first (2θ from 10° to 80°):
hkl 0 1 2, 2θ 23.79, d 3.741, I = 100
hkl 0 1 5, 2θ 34.46, d 2.603, I = 82
hkl 2 -1 3, 2θ 40.70, d 2.217, I = 67
hkl 0 0 3, 2θ 16.01, d 5.535, I = 56
hkl 2 -1 6, 2θ 50.08, d 1.821, I = 22
hkl 1 0 7, 2θ 43.86, d 2.064, I = 19
hkl 0 0 6, 2θ 32.35, d 2.767, I = 18
hkl 1 1 9, 2θ 63.41, d 1.467, I = 18
hkl 0 2 4, 2θ 48.68, d 1.870, I = 15
hkl 3 0 0, 2θ 67.00, d 1.397, I = 15

---

Question: Number 4 is which compound?
Answer: Li2VC2O6